Record 1
Calculated XRD peak list of ScTlCl4 for Cu Ka, from the PBE geometry in Alexandria.
Intensities are scaled so that the largest is 100.

The 12 most intense peaks (2θ from 10° to 80°), most intense first:
2θ (°)  d [Å]  I (rel.)
14.87  5.956  100
31.95  2.801  80
25.86  3.445  50
31.30  2.858  31
23.16  3.840  28
11.52  7.681  26
32.08  2.790  23
24.20  3.678  23
21.47  4.139  21
41.03  2.200  20
35.33  2.540  20
49.34  1.847  19

Crystal structure
```
6
Lattice="6.2489 -1.9335 0.0000 6.2489 1.9335 0.0000 -2.4383 0.0000 7.6809" Properties=species:S:1:pos:R:3 pbc="T T T"
Sc 0.0000 0.0000 0.0000
Tl 5.0297 0.0000 3.8405
Cl 0.7969 0.0000 2.3097
Cl 4.6472 0.0000 0.5603
Cl 5.4122 0.0000 7.1207
Cl 9.2626 0.0000 5.3712
```

Record 2
Calculated XRD peak list of ScW4Cl for Cu Ka, from the PBE geometry in Alexandria.
Intensities are scaled so that the largest is 100.

The 10 most intense peaks (2θ from 10° to 80°), most intense first:
2θ (°)  d [Å]  I (rel.)
39.10  2.304  100
20.13  4.411  93
40.92  2.206  88
47.60  1.910  35
69.61  1.351  34
63.24  1.470  32
52.18  1.753  24
73.30  1.292  18
33.16  2.701  3
59.25  1.560  1

Crystal structure
```
6
Lattice="0.0000 3.8204 3.8204 3.8204 0.0000 3.8204 3.8204 3.8204 0.0000" Properties=species:S:1:pos:R:3 pbc="T T T"
Sc 0.0000 0.0000 0.0000
W 4.7689 2.8719 2.8719
W 2.8719 4.7689 2.8719
W 2.8719 2.8719 4.7689
W 4.7689 4.7689 4.7689
Cl 1.9102 1.9102 1.9102
```